Starting from the GGA+U geometry in Alexandria, the PXRD pattern of MnFe2SnO6 was computed for CuKα.
Peak positions follow from Bragg's law for the DFT cell and can differ from measured ones.

Largest 6 diffraction maxima, in order of falling intensity, 2θ = 15–90°:
h k l	2theta	I/Imax
1 0 1	31.47	100
-1 1 1	33.86	96
1 1 -1	32.34	88
1 2 1	34.42	80
0 1 2	33.01	80
2 1 0	34.75	79

Structure:
abc: 5.1656 5.2163 5.4515
angles: 62.94 89.42 61.44
Space group P1 (No. 1)
Unique sites:
Mn: 0.0000 0.0000 0.0000 x1
Fe: 0.1975 0.5949 0.6012 x1
Fe: 0.7151 0.5565 0.1412 x1
Sn: 0.5068 0.9799 0.5209 x1
O: 0.1155 0.0593 0.3167 x1
O: 0.2727 0.1257 0.8035 x1
O: 0.4104 0.4635 0.3375 x1
O: 0.5773 0.4978 0.8024 x1
O: 0.8204 0.7859 0.3118 x1
O: 0.9229 0.7826 0.8110 x1